# 1
For Pr2YFe9, a crystal structure in Alexandria, relaxed with PBE gives the theoretical X-ray powder pattern in this record (a wavelength of 1.5418 Å).

Most intense lines, 2θ = 10–90°, low angle first:
d (Å)	I (rel.)	index
2.784	461	1 0 7
2.583	511	1 1 0
2.555	340	0 1 8
2.228	379	0 2 1
2.193	1000	1 1 6
2.041	198	2 0 5
2.020	192	0 1 11
1.404	223	0 3 6
1.392	169	2 0 14
1.292	227	2 2 0

Structure:
Unit cell a=5.1667 b=5.1667 c=24.8953 alpha=90.00 beta=90.00 gamma=120.00
Space group R-3m (No. 166, hexagonal axes)
Inequivalent atoms, fractional coordinates:
Pr (0.0000, 0.0000, 0.1411) [6 per cell]
Y (0.0000, 0.0000, 0.0000) [3 per cell]
Fe (0.0000, 0.0000, 0.3328) [6 per cell]
Fe (0.0000, 0.0000, 0.5000) [3 per cell]
Fe (0.0040, 0.5020, 0.0789) [18 per cell]

# 2
For FePt3, a crystal structure in Alexandria, relaxed with PBE gives the theoretical X-ray powder pattern in this record (a wavelength of 1.5418 Å).

Most intense lines, 2θ = 10–90°, low angle first:
d (Å)	I (rel.)	index
5.601	139	0 0 1
3.195	149	0 1 1
2.273	1000	0 1 2
2.246	974	1 1 0
1.966	325	1 0 -2
1.959	322	1 0 2
1.945	317	0 2 0
1.383	208	1 2 -2
1.380	206	1 2 2
1.190	126	1 1 -4

Structure:
Unit cell a=2.751 b=3.889 c=5.601 alpha=90.00 beta=90.22 gamma=90.00
Space group P2/m (No. 10)
Inequivalent atoms, fractional coordinates:
Fe (0.000, 0.000, 0.000) [1 per cell]
Pt (0.000, 0.000, 0.500) [1 per cell]
Pt (0.500, 0.500, 0.241) [2 per cell]

# 3
For Fe8Pt, a crystal structure in Alexandria, relaxed with PBE gives the theoretical X-ray powder pattern in this record (a wavelength of 1.5418 Å).

Most intense lines, 2θ = 10–90°, low angle first:
d (Å)	I (rel.)	index
6.183	265	1 1 0
4.372	119	2 0 0
2.765	105	3 1 0
2.743	102	1 0 1
2.324	127	2 1 1
2.061	505	3 3 0
2.052	1000	3 0 1
1.457	153	6 0 0
1.188	301	6 3 1
1.183	150	3 3 2

Structure:
Unit cell a=8.744 b=8.744 c=2.889 alpha=90.00 beta=90.00 gamma=90.00
Space group I4/mmm (No. 139)
Inequivalent atoms, fractional coordinates:
Fe (0.000, 0.336, 0.000) [8 per cell]
Fe (0.173, 0.173, 0.500) [8 per cell]
Pt (0.000, 0.000, 0.000) [2 per cell]

# 4
For Fe12Pt17, a crystal structure in Alexandria, relaxed with PBE gives the theoretical X-ray powder pattern in this record (a wavelength of 1.5418 Å).

Most intense lines, 2θ = 10–90°, low angle first:
d (Å)	I (rel.)	index
3.844	180	2 1 1
2.354	74	4 0 0
2.219	1000	3 3 0
2.008	71	3 3 2
1.922	90	4 2 2
1.847	82	4 3 1
1.569	89	6 0 0
1.281	244	6 3 3
1.236	73	7 3 0
1.159	50	7 4 1

Structure:
Unit cell a=9.416 b=9.416 c=9.416 alpha=90.00 beta=90.00 gamma=90.00
Space group I-43m (No. 217)
Inequivalent atoms, fractional coordinates:
Fe (0.088, 0.088, 0.280) [24 per cell]
Pt (0.000, 0.000, 0.000) [2 per cell]
Pt (0.042, 0.354, 0.354) [24 per cell]
Pt (0.166, 0.166, 0.834) [8 per cell]

# 5
For FeRe2Pt, a crystal structure in Alexandria, relaxed with PBE gives the theoretical X-ray powder pattern in this record (a wavelength of 1.5418 Å).

Most intense lines, 2θ = 10–90°, low angle first:
d (Å)	I (rel.)	index
5.466	145	0 0 1
3.170	135	0 1 1
2.237	1000	0 1 2
2.220	992	1 1 0
1.946	335	0 2 0
1.922	635	1 0 2
1.367	518	1 2 2
1.170	130	1 3 0
1.164	242	1 1 4
1.157	248	2 1 2

Structure:
Unit cell a=2.703 b=3.892 c=5.466 alpha=90.00 beta=90.00 gamma=90.00
Space group Pmm2 (No. 25)
Inequivalent atoms, fractional coordinates:
Fe (0.000, 0.000, 0.000) [1 per cell]
Re (0.000, 0.000, 0.522) [1 per cell]
Re (0.500, 0.500, 0.762) [1 per cell]
Pt (0.500, 0.500, 0.250) [1 per cell]

# 6
For Fe2Pt5Rh2, a crystal structure in Alexandria, relaxed with PBE gives the theoretical X-ray powder pattern in this record (a wavelength of 1.5418 Å).

Most intense lines, 2θ = 10–90°, low angle first:
d (Å)	I (rel.)	index
4.113	57	0 2 2
3.533	102	1 1 1
2.245	1000	1 3 3
1.955	334	2 0 0
1.924	152	0 6 0
1.382	107	2 0 6
1.371	200	2 6 0
1.177	254	3 3 3
1.163	113	1 9 3
1.123	108	2 6 6

Structure:
Unit cell a=3.912 b=11.542 c=11.726 alpha=90.00 beta=90.00 gamma=90.00
Space group Fmmm (No. 69)
Inequivalent atoms, fractional coordinates:
Fe (0.000, 0.000, 0.162) [8 per cell]
Pt (0.000, 0.000, 0.500) [4 per cell]
Pt (0.000, 0.159, 0.332) [16 per cell]
Rh (0.000, 0.166, 0.000) [8 per cell]

# 7
For Fe3Pt2Rh7, a crystal structure in Alexandria, relaxed with PBE gives the theoretical X-ray powder pattern in this record (a wavelength of 1.5418 Å).

Most intense lines, 2θ = 10–90°, low angle first:
d (Å)	I (rel.)	index
3.765	175	1 0 1
3.207	164	0 1 0
2.902	255	0 1 2
2.127	999	1 1 3
2.122	1000	1 1 -4
2.069	442	2 0 -1
1.947	291	0 0 7
1.603	195	0 2 0
1.267	174	2 2 -1
1.203	156	3 1 -5

Structure:
Unit cell a=4.137 b=3.207 c=13.777 alpha=90.00 beta=98.42 gamma=90.00
Space group P2/m (No. 10)
Inequivalent atoms, fractional coordinates:
Fe (0.000, 0.000, 0.000) [1 per cell]
Fe (0.218, 0.500, 0.434) [2 per cell]
Pt (0.147, 0.000, 0.291) [2 per cell]
Rh (0.070, 0.500, 0.131) [2 per cell]
Rh (0.290, 0.000, 0.580) [2 per cell]
Rh (0.413, 0.000, 0.836) [2 per cell]
Rh (0.500, 0.500, 0.000) [1 per cell]

# 8
For Fe2Pt3Rh, a crystal structure in Alexandria, relaxed with PBE gives the theoretical X-ray powder pattern in this record (a wavelength of 1.5418 Å).

Most intense lines, 2θ = 10–90°, low angle first:
d (Å)	I (rel.)	index
3.858	199	0 0 1
2.736	169	1 3 0
2.232	1000	1 3 1
1.935	325	2 0 0
1.929	161	0 0 2
1.368	104	2 6 0
1.366	207	2 0 2
1.166	250	3 3 1
1.164	124	1 3 3
1.116	111	2 6 2

Structure:
Unit cell a=3.869 b=11.607 c=3.858 alpha=90.00 beta=90.00 gamma=90.00
Space group Cmmm (No. 65)
Inequivalent atoms, fractional coordinates:
Fe (0.000, 0.166, 0.000) [4 per cell]
Pt (0.000, 0.000, 0.500) [2 per cell]
Pt (0.000, 0.331, 0.500) [4 per cell]
Rh (0.000, 0.500, 0.000) [2 per cell]

# 9
For FePt2Rh3, a crystal structure in Alexandria, relaxed with PBE gives the theoretical X-ray powder pattern in this record (a wavelength of 1.5418 Å).

Most intense lines, 2θ = 10–90°, low angle first:
d (Å)	I (rel.)	index
5.714	63	0 0 2
2.472	87	1 0 2
2.225	1000	1 0 3
1.939	338	1 1 0
1.905	144	0 0 6
1.371	108	2 0 0
1.359	188	1 1 6
1.167	251	2 1 3
1.152	98	1 0 9
1.113	102	2 0 6

Structure:
Unit cell a=2.742 b=2.742 c=11.428 alpha=90.00 beta=90.00 gamma=90.00
Space group P4/mmm (No. 123)
Inequivalent atoms, fractional coordinates:
Fe (0.000, 0.000, 0.000) [1 per cell]
Pt (0.000, 0.000, 0.328) [2 per cell]
Rh (0.500, 0.500, 0.152) [2 per cell]
Rh (0.500, 0.500, 0.500) [1 per cell]

# 10
For Fe5Pt3Rh3, a crystal structure in Alexandria, relaxed with PBE gives the theoretical X-ray powder pattern in this record (a wavelength of 1.5418 Å).

Most intense lines, 2θ = 10–90°, low angle first:
d (Å)	I (rel.)	index
3.623	214	0 0 2
3.589	490	1 0 1
2.160	193	1 3 2
2.144	435	0 4 2
2.137	1000	1 4 1
2.085	664	1 0 3
2.065	389	2 0 0
1.487	275	2 4 2
1.206	156	3 4 1
1.121	168	1 8 3

Structure:
Unit cell a=4.131 b=10.639 c=7.247 alpha=90.00 beta=90.00 gamma=90.00
Space group Imm2 (No. 44)
Inequivalent atoms, fractional coordinates:
Fe (0.000, 0.000, 0.000) [2 per cell]
Fe (0.000, 0.132, 0.333) [4 per cell]
Fe (0.000, 0.356, 0.030) [4 per cell]
Pt (0.000, 0.246, 0.699) [4 per cell]
Pt (0.000, 0.500, 0.725) [2 per cell]
Rh (0.000, 0.000, 0.647) [2 per cell]
Rh (0.000, 0.375, 0.380) [4 per cell]

# 11
For Fe2PtRh8, a crystal structure in Alexandria, relaxed with PBE gives the theoretical X-ray powder pattern in this record (a wavelength of 1.5418 Å).

Most intense lines, 2θ = 10–90°, low angle first:
d (Å)	I (rel.)	index
2.816	302	2 0 1
2.457	167	1 3 1
2.152	908	3 1 1
2.141	1000	0 4 1
2.075	517	3 3 0
2.009	428	0 0 2
1.443	315	3 3 2
1.208	203	3 7 1
1.184	142	0 4 3
1.121	241	6 4 1

Structure:
Unit cell a=7.897 b=10.117 c=4.018 alpha=90.00 beta=90.00 gamma=90.00
Space group Cmmm (No. 65)
Inequivalent atoms, fractional coordinates:
Fe (0.000, 0.116, 0.000) [4 per cell]
Pt (0.000, 0.500, 0.500) [2 per cell]
Rh (0.000, 0.241, 0.500) [4 per cell]
Rh (0.163, 0.000, 0.500) [4 per cell]
Rh (0.172, 0.365, 0.000) [8 per cell]

# 12
For Fe3PtRh4, a crystal structure in Alexandria, relaxed with PBE gives the theoretical X-ray powder pattern in this record (a wavelength of 1.5418 Å).

Most intense lines, 2θ = 10–90°, low angle first:
d (Å)	I (rel.)	index
2.352	139	0 2 1
2.271	240	1 2 1
2.229	138	1 0 2
2.183	444	4 0 0
2.071	1000	2 2 1
2.039	402	2 0 2
1.340	184	0 2 3
1.238	181	6 2 1
1.142	218	4 2 3
1.135	125	2 4 2

Structure:
Unit cell a=8.734 b=5.469 c=4.610 alpha=90.00 beta=90.00 gamma=90.00
Space group Pmma (No. 51)
Inequivalent atoms, fractional coordinates:
Fe (0.000, 0.000, 0.000) [2 per cell]
Fe (0.250, 0.000, 0.339) [2 per cell]
Fe (0.250, 0.500, 0.341) [2 per cell]
Pt (0.000, 0.500, 0.000) [2 per cell]
Rh (0.000, 0.245, 0.500) [4 per cell]
Rh (0.250, 0.245, 0.845) [4 per cell]

Copy entry 12 word for word.
For Fe3PtRh4, a crystal structure in Alexandria, relaxed with PBE gives the theoretical X-ray powder pattern in this record (a wavelength of 1.5418 Å).

Most intense lines, 2θ = 10–90°, low angle first:
d (Å)	I (rel.)	index
2.352	139	0 2 1
2.271	240	1 2 1
2.229	138	1 0 2
2.183	444	4 0 0
2.071	1000	2 2 1
2.039	402	2 0 2
1.340	184	0 2 3
1.238	181	6 2 1
1.142	218	4 2 3
1.135	125	2 4 2

Structure:
Unit cell a=8.734 b=5.469 c=4.610 alpha=90.00 beta=90.00 gamma=90.00
Space group Pmma (No. 51)
Inequivalent atoms, fractional coordinates:
Fe (0.000, 0.000, 0.000) [2 per cell]
Fe (0.250, 0.000, 0.339) [2 per cell]
Fe (0.250, 0.500, 0.341) [2 per cell]
Pt (0.000, 0.500, 0.000) [2 per cell]
Rh (0.000, 0.245, 0.500) [4 per cell]
Rh (0.250, 0.245, 0.845) [4 per cell]